(1)
Theoretical X-ray powder pattern of Ca3YMn3B4O15 for λ = 1.5418 Å (Cu Kα), from a cell relaxed with PBE+U.
No peak broadening, texture or thermal motion is included.

Structural model:
Unit cell a=10.6439 b=6.0361 c=10.6502 alpha=90.00 beta=119.67 gamma=90.00
Positions (direct):
Ca  0.0000  0.0000  0.0000
Ca  0.0434  0.0000  0.4887
Ca  0.1279  0.5000  0.2850
Ca  0.1984  0.0000  0.8432
Ca  0.5520  0.0000  0.0376
Ca  0.7139  0.5000  0.9116
Y  0.5300  0.5000  0.5082
Y  0.7594  0.5000  0.3269
Mn  0.3637  0.2524  0.6740
Mn  0.3637  0.7476  0.6740
Mn  0.3679  0.2520  0.1755
Mn  0.3679  0.7480  0.1755
Mn  0.8653  0.2509  0.6773
Mn  0.8653  0.7491  0.6773
B  0.0858  0.5000  0.9436
B  0.0964  0.5000  0.6247
B  0.3177  0.0000  0.3932
B  0.4128  0.5000  0.9545
B  0.6308  0.0000  0.7221
B  0.6506  0.0000  0.4054
B  0.8629  0.2576  0.1775
B  0.8629  0.7424  0.1775
O  0.0375  0.2991  0.8708
O  0.0375  0.7009  0.8708
O  0.1686  0.2992  0.6522
O  0.1686  0.7008  0.6522
O  0.1852  0.5000  0.0906
O  0.2493  0.0000  0.0841
O  0.2615  0.0000  0.4844
O  0.3387  0.5000  0.5491
O  0.3460  0.2049  0.3491
O  0.3460  0.7951  0.3491
O  0.3875  0.2986  0.0020
O  0.3875  0.7014  0.0020
O  0.3880  0.0000  0.7912
O  0.4616  0.5000  0.8556
O  0.4980  0.5000  0.2753
O  0.5543  0.0000  0.2601
O  0.5593  0.2044  0.6955
O  0.5593  0.7956  0.6955
O  0.6980  0.2055  0.4760
O  0.6980  0.7945  0.4760
O  0.7146  0.2758  0.1200
O  0.7146  0.7242  0.1200
O  0.7638  0.5000  0.6989
O  0.7777  0.0000  0.7752
O  0.9251  0.2670  0.0927
O  0.9251  0.7330  0.0927
O  0.9443  0.2743  0.3265
O  0.9443  0.7257  0.3265
O  0.9465  0.5000  0.5706
O  0.9595  0.0000  0.6536

Most intense lines, 2θ = 10–80°, most intense first:
- 35.5 deg, I 1000
- 29.5 deg, I 517
- 17.5 deg, I 351
- 33.7 deg, I 340
- 49.7 deg, I 334
- 29.6 deg, I 298
- 19.2 deg, I 297
- 61.4 deg, I 218
- 32.6 deg, I 209
- 33.5 deg, I 195

(2)
Theoretical X-ray powder pattern of Co3B7ClO13 for λ = 1.5418 Å (Cu Kα), from a cell relaxed with PBE+U.
No peak broadening, texture or thermal motion is included.

Structural model:
Unit cell a=8.6523 b=8.6523 c=8.6523 alpha=59.79 beta=59.79 gamma=59.79
Positions (direct):
Co  0.1277  0.6872  0.6851
Co  0.1851  0.1872  0.6277
Co  0.1872  0.6277  0.1851
Co  0.6277  0.1851  0.1872
Co  0.6851  0.1277  0.6872
Co  0.6872  0.6851  0.1277
B  0.0573  0.0573  0.0573
B  0.0863  0.0867  0.3934
B  0.0867  0.3934  0.0863
B  0.3934  0.0863  0.0867
B  0.4062  0.9122  0.9128
B  0.4122  0.9062  0.4128
B  0.4128  0.4122  0.9062
B  0.5573  0.5573  0.5573
B  0.5863  0.8934  0.5867
B  0.5867  0.5863  0.8934
B  0.8934  0.5867  0.5863
B  0.9062  0.4128  0.4122
B  0.9122  0.9128  0.4062
B  0.9128  0.4062  0.9122
Cl  0.3898  0.3898  0.3898
Cl  0.8898  0.8898  0.8898
O  0.0475  0.4710  0.2246
O  0.0535  0.2146  0.8951
O  0.0595  0.9109  0.4456
O  0.1721  0.1721  0.1721
O  0.2146  0.8951  0.0535
O  0.2246  0.0475  0.4710
O  0.2245  0.4596  0.9065
O  0.3951  0.7146  0.5535
O  0.4065  0.9596  0.7245
O  0.4109  0.5595  0.9456
O  0.4456  0.0595  0.9109
O  0.4596  0.9065  0.2245
O  0.4710  0.2246  0.0475
O  0.5475  0.7246  0.9710
O  0.5535  0.3951  0.7146
O  0.5595  0.9456  0.4109
O  0.6721  0.6721  0.6721
O  0.7146  0.5535  0.3951
O  0.7245  0.4065  0.9596
O  0.7246  0.9710  0.5475
O  0.8951  0.0535  0.2146
O  0.9065  0.2245  0.4596
O  0.9109  0.4456  0.0595
O  0.9456  0.4109  0.5595
O  0.9596  0.7245  0.4065
O  0.9710  0.5475  0.7246

Most intense lines, 2θ = 10–80°, most intense first:
- 29.2 deg, I 1000
- 32.8 deg, I 538
- 25.2 deg, I 335
- 49.5 deg, I 281
- 41.8 deg, I 269
- 20.5 deg, I 262
- 25.3 deg, I 253
- 41.9 deg, I 251
- 49.4 deg, I 213
- 43.8 deg, I 190

(3)
Theoretical X-ray powder pattern of Cr3B7ClO13 for λ = 1.5418 Å (Cu Kα), from a cell relaxed with PBE+U.
No peak broadening, texture or thermal motion is included.

Structural model:
Unit cell a=8.6762 b=8.6762 c=8.6762 alpha=60.00 beta=60.00 gamma=60.00
Positions (direct):
Cr  0.2500  0.2500  0.7500
Cr  0.2500  0.7500  0.2500
Cr  0.2500  0.7500  0.7500
Cr  0.7500  0.2500  0.2500
Cr  0.7500  0.2500  0.7500
Cr  0.7500  0.7500  0.2500
B  0.0000  0.0000  0.5000
B  0.0000  0.5000  0.0000
B  0.0000  0.5000  0.5000
B  0.0100  0.3300  0.3300
B  0.3300  0.0100  0.3300
B  0.3300  0.3300  0.0100
B  0.3300  0.3300  0.3300
B  0.5000  0.0000  0.0000
B  0.5000  0.0000  0.5000
B  0.5000  0.5000  0.0000
B  0.5100  0.8300  0.8300
B  0.8300  0.5100  0.8300
B  0.8300  0.8300  0.5100
B  0.8300  0.8300  0.8300
Cl  0.0000  0.0000  0.0000
Cl  0.5000  0.5000  0.5000
O  0.0054  0.4542  0.8544
O  0.0054  0.6859  0.4542
O  0.0054  0.8544  0.6859
O  0.1859  0.3544  0.5054
O  0.1859  0.5054  0.9542
O  0.1859  0.9542  0.3544
O  0.2500  0.2500  0.2500
O  0.3544  0.1859  0.9542
O  0.3544  0.5054  0.1859
O  0.3544  0.9542  0.5054
O  0.4542  0.0054  0.6859
O  0.4542  0.6859  0.8544
O  0.4542  0.8544  0.0054
O  0.5054  0.1859  0.3544
O  0.5054  0.3544  0.9542
O  0.5054  0.9542  0.1859
O  0.6859  0.0054  0.8544
O  0.6859  0.4542  0.0054
O  0.6859  0.8544  0.4542
O  0.7500  0.7500  0.7500
O  0.8544  0.0054  0.4542
O  0.8544  0.4542  0.6859
O  0.8544  0.6859  0.0054
O  0.9542  0.1859  0.5054
O  0.9542  0.3544  0.1859
O  0.9542  0.5054  0.3544

Most intense lines, 2θ = 10–80°, most intense first:
- 29.1 deg, I 1000
- 41.6 deg, I 557
- 32.6 deg, I 553
- 49.3 deg, I 417
- 43.6 deg, I 376
- 25.1 deg, I 359
- 51.6 deg, I 309
- 68.4 deg, I 278
- 76.0 deg, I 275
- 62.4 deg, I 160